# PmEuZn2
Simulated X-ray powder pattern, Cu Kα (weighted mean of Kα1 and Kα2). Input: a crystal structure in the Materials Project, relaxed with PBE.
Neutral-atom scattering factors, no anomalous dispersion.

Peak list (10 most intense, 10 to 90 degrees two-theta, low angle first)
(2 0 0), 2θ 24.2, d = 3.682 Å, I 15.2
(2 2 0), 2θ 34.4, d = 2.604 Å, I 100.0
(2 2 2), 2θ 42.5, d = 2.126 Å, I 4.7
(4 0 0), 2θ 49.5, d = 1.841 Å, I 17.7
(4 2 0), 2θ 55.8, d = 1.647 Å, I 6.5
(4 2 2), 2θ 61.7, d = 1.503 Å, I 36.1
(4 4 0), 2θ 72.6, d = 1.302 Å, I 11.0
(6 0 0), 2θ 77.8, d = 1.227 Å, I 3.3
(6 2 0), 2θ 82.9, d = 1.164 Å, I 15.5
(6 2 2), 2θ 88.0, d = 1.110 Å, I 2.1

Structural model:
```
PmEuZn2
1.0
7.3643 0.0000 0.0000
0.0000 7.3643 0.0000
0.0000 0.0000 7.3643
Pm Eu Zn
4 4 8
direct
0.0000 0.0000 0.0000
0.0000 0.5000 0.5000
0.5000 0.0000 0.5000
0.5000 0.5000 0.0000
0.0000 0.0000 0.5000
0.0000 0.5000 0.0000
0.5000 0.0000 0.0000
0.5000 0.5000 0.5000
0.2500 0.2500 0.2500
0.2500 0.2500 0.7500
0.2500 0.7500 0.2500
0.2500 0.7500 0.7500
0.7500 0.2500 0.2500
0.7500 0.2500 0.7500
0.7500 0.7500 0.2500
0.7500 0.7500 0.7500
```

=====

# Na2LiTa
Simulated X-ray powder pattern, Cu Kα (weighted mean of Kα1 and Kα2). Input: a crystal structure in the Materials Project, relaxed with PBE.
Neutral-atom scattering factors, no anomalous dispersion.

Peak list (10 most intense, 10 to 90 degrees two-theta, low angle first)
(1 1 1), 2θ 21.5, d = 4.135 Å, I 100.0
(2 0 0), 2θ 24.9, d = 3.581 Å, I 66.2
(2 2 0), 2θ 35.5, d = 2.532 Å, I 96.4
(3 1 1), 2θ 41.8, d = 2.159 Å, I 54.7
(2 2 2), 2θ 43.8, d = 2.067 Å, I 19.9
(3 3 1), 2θ 56.0, d = 1.643 Å, I 23.8
(4 2 0), 2θ 57.6, d = 1.601 Å, I 26.9
(4 2 2), 2θ 63.7, d = 1.462 Å, I 34.5
(5 1 1), 2θ 68.0, d = 1.378 Å, I 18.0
(5 3 1), 2θ 79.1, d = 1.211 Å, I 18.0

Structural model:
```
Na2LiTa
1.0
7.1616 0.0000 0.0000
0.0000 7.1616 0.0000
0.0000 0.0000 7.1616
Na Li Ta
8 4 4
direct
0.0000 0.0000 0.0000
0.0000 0.5000 0.5000
0.2500 0.2500 0.2500
0.2500 0.7500 0.7500
0.5000 0.0000 0.5000
0.5000 0.5000 0.0000
0.7500 0.2500 0.7500
0.7500 0.7500 0.2500
0.0000 0.0000 0.5000
0.0000 0.5000 0.0000
0.5000 0.0000 0.0000
0.5000 0.5000 0.5000
0.2500 0.2500 0.7500
0.2500 0.7500 0.2500
0.7500 0.2500 0.2500
0.7500 0.7500 0.7500
```

=====

# KHoO3
Simulated X-ray powder pattern, Cu Kα (weighted mean of Kα1 and Kα2). Input: a crystal structure in the Materials Project, relaxed with PBE.
Neutral-atom scattering factors, no anomalous dispersion.

Peak list (10 most intense, 10 to 90 degrees two-theta, low angle first)
(1 0 0), 2θ 20.0, d = 4.448 Å, I 64.5
(1 1 0), 2θ 28.4, d = 3.145 Å, I 100.0
(2 0 0), 2θ 40.6, d = 2.224 Å, I 34.5
(2 1 0), 2θ 45.6, d = 1.989 Å, I 30.7
(2 1 1), 2θ 50.2, d = 1.816 Å, I 41.4
(2 2 0), 2θ 58.7, d = 1.573 Å, I 21.5
(3 0 0), 2θ 62.7, d = 1.483 Å, I 15.0
(3 1 0), 2θ 66.5, d = 1.407 Å, I 17.9
(2 2 2), 2θ 73.8, d = 1.284 Å, I 6.9
(3 2 1), 2θ 80.8, d = 1.189 Å, I 20.9

Structural model:
```
KHoO3
1.0
4.4484 0.0000 0.0000
0.0000 4.4484 0.0000
0.0000 0.0000 4.4484
K Ho O
1 1 3
direct
0.0000 0.0000 0.0000
0.5000 0.5000 0.5000
0.0000 0.5000 0.5000
0.5000 0.0000 0.5000
0.5000 0.5000 0.0000
```